Theoretical X-ray diffraction stick pattern
Compound: Tl5Sb4
Radiation: copper Kα
Structure: DFT lattice parameters and positions (PBE)

Most intense lines, 2θ = 5–70°, by intensity:
Position (°2θ)	intensity
31.3	100
32.1	98
31.9	60
31.5	42
56.5	38
57.0	31
45.5	31
27.8	20

Crystal structure
a b c (Å): 6.7038 6.7038 10.2367
angles (deg): 121.35 121.35 49.43
Element x y z (fractional)
Tl: 0.0000 0.0000 0.0000
Tl: 0.3241 0.3241 0.4592
Tl: 0.3469 0.3469 0.1268
Tl: 0.6531 0.6531 0.8732
Tl: 0.6759 0.6759 0.5408
Sb: 0.0364 0.0364 0.6639
Sb: 0.3171 0.3171 0.7859
Sb: 0.6829 0.6829 0.2141
Sb: 0.9636 0.9636 0.3361


Theoretical X-ray diffraction stick pattern
Compound: Tl5Sb
Radiation: copper Kα
Structure: DFT lattice parameters and positions (PBE)

Most intense lines, 2θ = 5–70°, by intensity:
Position (°2θ)	intensity
32.6	100
27.0	97
37.5	75
30.5	73
34.9	54
57.9	40
55.1	35
53.2	34

Crystal structure
a b c (Å): 8.8208 8.8208 8.8208
angles (deg): 129.04 129.04 74.95
Element x y z (fractional)
Tl: 0.0000 0.0000 0.0000
Tl: 0.0166 0.5166 0.8062
Tl: 0.2104 0.0166 0.5000
Tl: 0.2896 0.7896 0.8062
Tl: 0.4834 0.2896 0.5000
Tl: 0.5000 0.5000 0.0000
Tl: 0.5166 0.7104 0.5000
Tl: 0.7104 0.2104 0.1938
Tl: 0.7896 0.9834 0.5000
Tl: 0.9834 0.4834 0.1938
Sb: 0.2500 0.2500 0.0000
Sb: 0.7500 0.7500 0.0000


Theoretical X-ray diffraction stick pattern
Compound: Tl3Sb
Radiation: copper Kα
Structure: DFT lattice parameters and positions (PBE)

Most intense lines, 2θ = 5–70°, by intensity:
Position (°2θ)	intensity
30.8	100
31.8	18
38.9	16
36.3	15
65.5	13
31.4	11
51.1	10
54.2	10

Crystal structure
a b c (Å): 4.6284 9.9108 5.6357
angles (deg): 90.00 90.00 90.00
Element x y z (fractional)
Tl: 0.2500 0.0278 0.2393
Tl: 0.2500 0.2500 0.7827
Tl: 0.2500 0.4722 0.2393
Tl: 0.7500 0.5278 0.7607
Tl: 0.7500 0.7500 0.2173
Tl: 0.7500 0.9722 0.7607
Sb: 0.2500 0.7500 0.6221
Sb: 0.7500 0.2500 0.3779


Theoretical X-ray diffraction stick pattern
Compound: Tl7Sb2
Radiation: copper Kα
Structure: DFT lattice parameters and positions (PBE)

Most intense lines, 2θ = 5–70°, by intensity:
Position (°2θ)	intensity
31.7	100
32.0	89
56.6	36
45.7	34
56.4	20
63.8	17
66.2	12
25.2	6

Crystal structure
a b c (Å): 5.6487 5.6487 10.2149
angles (deg): 90.00 90.00 120.00
Element x y z (fractional)
Tl: 0.0000 0.0000 0.0000
Tl: 0.0000 0.0000 0.3288
Tl: 0.0000 0.0000 0.6712
Tl: 0.3333 0.6667 0.1339
Tl: 0.3333 0.6667 0.4990
Tl: 0.6667 0.3333 0.5010
Tl: 0.6667 0.3333 0.8661
Sb: 0.3333 0.6667 0.8127
Sb: 0.6667 0.3333 0.1873


Theoretical X-ray diffraction stick pattern
Compound: Tl13Sb2
Radiation: copper Kα
Structure: DFT lattice parameters and positions (PBE)

Most intense lines, 2θ = 5–70°, by intensity:
Position (°2θ)	intensity
31.5	100
31.6	49
31.4	48
32.7	46
33.0	44
55.2	27
57.7	24
43.2	20

Crystal structure
a b c (Å): 6.8526 8.5791 8.8216
angles (deg): 66.94 79.01 82.48
Element x y z (fractional)
Tl: 0.0000 0.0000 0.0000
Tl: 0.1296 0.4722 0.7636
Tl: 0.1938 0.2086 0.1874
Tl: 0.2704 0.9367 0.5940
Tl: 0.3218 0.6656 0.9887
Tl: 0.3680 0.4110 0.3991
Tl: 0.4770 0.1379 0.8016
Tl: 0.5230 0.8621 0.1984
Tl: 0.6320 0.5890 0.6009
Tl: 0.6782 0.3344 0.0113
Tl: 0.7296 0.0633 0.4060
Tl: 0.8062 0.7914 0.8126
Tl: 0.8704 0.5278 0.2364
Sb: 0.0791 0.7605 0.3907
Sb: 0.9209 0.2395 0.6093


Theoretical X-ray diffraction stick pattern
Compound: Tl3Sb
Radiation: copper Kα
Structure: DFT lattice parameters and positions (PBE)

Most intense lines, 2θ = 5–70°, by intensity:
Position (°2θ)	intensity
31.0	100
33.3	83
56.6	37
46.1	34
55.2	20
60.8	15
64.6	12
69.8	10

Crystal structure
a b c (Å): 11.5363 11.5363 3.1982
angles (deg): 90.00 90.00 120.00
Element x y z (fractional)
Tl: 0.0000 0.5000 0.0000
Tl: 0.1667 0.3333 0.3333
Tl: 0.1667 0.8333 0.3333
Tl: 0.3333 0.1667 0.6667
Tl: 0.5000 0.0000 0.0000
Tl: 0.5000 0.5000 0.0000
Tl: 0.6667 0.8333 0.3333
Tl: 0.8333 0.1667 0.6667
Tl: 0.8333 0.6667 0.6667
Sb: 0.0000 0.0000 0.0000
Sb: 0.3333 0.6667 0.6667
Sb: 0.6667 0.3333 0.3333


Theoretical X-ray diffraction stick pattern
Compound: Tl3Sb5
Radiation: copper Kα
Structure: DFT lattice parameters and positions (PBE)

Most intense lines, 2θ = 5–70°, by intensity:
Position (°2θ)	intensity
29.3	100
30.1	52
35.3	39
35.6	38
28.6	31
32.3	25
33.2	18
29.2	17

Crystal structure
a b c (Å): 8.3855 8.3855 10.3676
angles (deg): 95.31 95.31 131.69
Element x y z (fractional)
Tl: 0.0000 0.0000 0.0000
Tl: 0.0601 0.6367 0.4224
Tl: 0.4686 0.9135 0.9365
Tl: 0.5052 0.5052 0.8614
Tl: 0.6367 0.0601 0.4224
Tl: 0.9135 0.4686 0.9365
Sb: 0.1326 0.4178 0.6582
Sb: 0.2411 0.2411 0.4622
Sb: 0.2467 0.9313 0.1881
Sb: 0.3758 0.5798 0.1613
Sb: 0.4178 0.1326 0.6582
Sb: 0.5798 0.3758 0.1613
Sb: 0.6472 0.6472 0.4205
Sb: 0.7905 0.9834 0.7009
Sb: 0.9313 0.2467 0.1881
Sb: 0.9834 0.7905 0.7009


Theoretical X-ray diffraction stick pattern
Compound: Tl7Sb2
Radiation: copper Kα
Structure: DFT lattice parameters and positions (PBE)

Most intense lines, 2θ = 5–70°, by intensity:
Position (°2θ)	intensity
31.8	100
56.6	33
45.6	18
66.4	9
63.3	6
23.6	2
53.1	2
44.2	2

Crystal structure
a b c (Å): 10.3439 10.3439 10.3439
angles (deg): 109.47 109.47 109.47
Element x y z (fractional)
Tl: 0.0000 0.0000 0.0000
Tl: 0.0000 0.0000 0.3363
Tl: 0.0000 0.0000 0.6637
Tl: 0.0000 0.3363 0.0000
Tl: 0.0000 0.3508 0.6492
Tl: 0.0000 0.6492 0.3508
Tl: 0.0000 0.6637 0.0000
Tl: 0.2984 0.6492 0.6492
Tl: 0.3363 0.0000 0.0000
Tl: 0.3363 0.3363 0.3363
Tl: 0.3508 0.0000 0.6492
Tl: 0.3508 0.3508 0.7016
Tl: 0.3508 0.6492 0.0000
Tl: 0.3508 0.7016 0.3508
Tl: 0.6492 0.0000 0.3508
Tl: 0.6492 0.2984 0.6492
Tl: 0.6492 0.3508 0.0000
Tl: 0.6492 0.6492 0.2984
Tl: 0.6637 0.0000 0.0000
Tl: 0.6637 0.6637 0.6637
Tl: 0.7016 0.3508 0.3508
Sb: 0.0000 0.3100 0.3100
Sb: 0.0000 0.6900 0.6900
Sb: 0.3100 0.0000 0.3100
Sb: 0.3100 0.3100 0.0000
Sb: 0.6900 0.0000 0.6900
Sb: 0.6900 0.6900 0.0000